Entry 1:
VP2O7: computed powder diffractogram (Cu Ka), based on a GGA+U-relaxed structure.
Lines closer than 0.1° are merged.

Top 10 peaks for 10° ≤ 2θ ≤ 80°, by angle:
two_theta, I/Imax
10.78, 100
16.88, 51
17.61, 51
18.55, 54
20.37, 35
20.81, 29
21.71, 34
23.14, 88
29.88, 24
34.94, 24

Atomic structure:
Lattice parameters (Å, degrees): 6.3674 9.4806 10.5964 64.68 85.42 73.54
Space group P1 (No. 1)
Inequivalent atoms, fractional coordinates:
V 0.0000 0.0000 0.0000 x1
V 0.0982 0.4082 0.9752 x1
V 0.6390 0.6068 0.5296 x1
V 0.7423 0.0142 0.5086 x1
P 0.0600 0.3100 0.7173 x1
P 0.2633 0.9530 0.4550 x1
P 0.3139 0.6845 0.9754 x1
P 0.4251 0.3289 0.5312 x1
P 0.4783 0.0624 0.0523 x1
P 0.6773 0.7037 0.7888 x1
P 0.7801 0.8267 0.2952 x1
P 0.9617 0.1909 0.2121 x1
O 0.0130 0.3570 0.1627 x1
O 0.0557 0.9712 0.5376 x1
O 0.0982 0.3972 0.8053 x1
O 0.0992 0.8301 0.9535 x1
O 0.1790 0.0563 0.2924 x1
O 0.2442 0.5659 0.9338 x1
O 0.2934 0.2397 0.6688 x1
O 0.3042 0.3950 0.3968 x1
O 0.3146 0.9880 0.0254 x1
O 0.3602 0.7791 0.4705 x1
O 0.3798 0.2377 0.0325 x1
O 0.4282 0.0241 0.4853 x1
O 0.4367 0.6153 0.1096 x1
O 0.4443 0.7748 0.8373 x1
O 0.4886 0.4516 0.5707 x1
O 0.5641 0.9633 0.2152 x1
O 0.6387 0.6179 0.6996 x1
O 0.6420 0.1842 0.5555 x1
O 0.6866 0.0421 0.9708 x1
O 0.7282 0.6608 0.3430 x1
O 0.7644 0.8479 0.6991 x1
O 0.7722 0.1632 0.3063 x1
O 0.7992 0.8322 0.4386 x1
O 0.8185 0.5799 0.9179 x1
O 0.9161 0.4318 0.5887 x1
O 0.9429 0.1839 0.0691 x1
O 0.9709 0.8533 0.2021 x1
O 0.9761 0.1651 0.8090 x1

=====

Entry 2:
V2P2O9: computed powder diffractogram (Cu Ka), based on a GGA+U-relaxed structure.
Lines closer than 0.1° are merged.

Top 10 peaks for 10° ≤ 2θ ≤ 80°, by angle:
two_theta, I/Imax
18.18, 15
23.64, 100
27.83, 87
29.56, 45
32.76, 17
36.83, 22
42.29, 21
48.37, 15
49.02, 15
57.50, 16

Atomic structure:
Lattice parameters (Å, degrees): 8.5491 9.6920 7.5272 90.00 90.00 90.00
Space group Pbcn (No. 60)
Inequivalent atoms, fractional coordinates:
V 0.1914 0.0043 0.0328 x8
P 0.0009 0.2978 0.5438 x8
O 0.0000 0.3319 0.7500 x4
O 0.0010 0.1368 0.9760 x8
O 0.1448 0.3603 0.0360 x8
O 0.1536 0.3544 0.4711 x8
O 0.1813 0.0264 0.2539 x8